The following is a calculated XRD peak list of LaNp2O8. It was derived from a crystal structure in Alexandria, relaxed with GGA-PBE, using λ = 1.5418 Å (Cu Kα).
Peak positions follow from Bragg's law for the DFT cell and can differ from measured ones.

Top 10 peaks for 10° ≤ 2θ ≤ 90°, low angle first:
2θ (°), I/Imax, index
25.0, 1000, 1 1 0
25.5, 971, 0 1 1
36.0, 228, 2 0 1
44.0, 226, 3 0 0
44.3, 435, 1 2 1
45.3, 163, 1 0 2
51.3, 205, 2 2 0
52.5, 136, 0 2 2
58.1, 206, 4 -1 1
58.9, 138, 3 -1 2

Structural model:
Unit cell a=7.1285 b=7.1285 c=4.2288 alpha=90.00 beta=90.00 gamma=120.00
Space group P-3 (No. 147)
Asymmetric unit:
La 0.0000 0.0000 0.0000 x1
Np 0.3333 0.6667 0.2582 x2
O 0.1752 0.8236 0.2565 x6
O 0.3333 0.6667 0.7598 x2